Entry 1:
Structure and computed powder diffractogram of Pu3As2P (a DFT-relaxed cell (PBE, OQMD); λ = 1.5418 Å (Cu Kα)).
Intensities are scaled so that the largest is 100.

```
Pu3As2P
1.0
4.095 0.000 0.000
-2.048 3.546 0.000
0.000 0.000 10.032
Pu As P
3 2 1
direct
0.000 0.000 0.000
0.333 0.667 0.342
0.667 0.333 0.658
0.333 0.667 0.830
0.667 0.333 0.170
0.000 0.000 0.500
```

Principal peaks in the range 15° ≤ 2θ ≤ 90°, in order of rising 2θ:
two_theta	I/Imax
26.7	64.1
30.9	100.0
44.2	74.7
52.4	32.0
54.9	26.6
64.3	12.3
70.9	13.8
73.1	34.1
81.4	25.9
87.5	10.8

***

Entry 2:
Structure and computed powder diffractogram of TcCl (a DFT-relaxed cell (PBE, OQMD); λ = 1.5418 Å (Cu Kα)).
Intensities are scaled so that the largest is 100.

```
TcCl
1.0
2.919 0.000 0.000
-1.460 2.528 0.000
0.000 0.000 4.113
Tc Cl
1 1
direct
0.000 0.000 0.000
0.333 0.667 0.500
```

Principal peaks in the range 15° ≤ 2θ ≤ 90°, in order of rising 2θ:
two_theta	I/Imax
21.6	26.0
35.5	42.5
41.9	100.0
44.0	17.8
57.8	20.4
63.8	16.8
68.2	7.2
79.3	14.4
79.5	14.3
80.7	16.9

***

Entry 3:
Structure and computed powder diffractogram of SmGa2CuPt (a DFT-relaxed cell (PBE, OQMD); λ = 1.5418 Å (Cu Kα)).
Intensities are scaled so that the largest is 100.

```
SmGa2CuPt
1.0
4.260 0.000 0.000
0.000 4.260 0.000
0.000 0.000 10.255
Sm Ga Cu Pt
2 4 2 2
direct
0.250 0.250 0.247
0.750 0.750 0.753
0.250 0.250 0.880
0.250 0.750 0.500
0.750 0.250 0.500
0.750 0.750 0.120
0.250 0.750 0.000
0.750 0.250 0.000
0.250 0.250 0.638
0.750 0.750 0.362
```

Principal peaks in the range 15° ≤ 2θ ≤ 90°, in order of rising 2θ:
two_theta	I/Imax
27.2	26.4
29.7	53.7
33.6	98.0
34.5	100.0
42.4	86.2
46.5	26.1
49.3	49.6
55.2	47.8
61.6	28.2
67.0	39.5

***

Entry 4:
Structure and computed powder diffractogram of YHoInCo2 (a DFT-relaxed cell (PBE, OQMD); λ = 1.5418 Å (Cu Kα)).
Intensities are scaled so that the largest is 100.

```
YHoInCo2
1.0
3.894 0.000 0.000
0.000 1.906 6.913
0.000 -1.906 6.913
Y Ho In Co
1 1 1 2
direct
0.000 0.000 0.000
0.000 0.723 0.723
0.500 0.361 0.361
0.500 0.157 0.157
0.500 0.569 0.569
```

Principal peaks in the range 15° ≤ 2θ ≤ 90°, in order of rising 2θ:
two_theta	I/Imax
30.4	38.4
33.5	100.0
34.7	75.8
38.4	26.5
40.3	32.5
46.6	23.5
47.7	21.9
60.3	29.6
63.3	21.5
72.5	15.1

***

Entry 5:
Structure and computed powder diffractogram of Al3CoC3 (a DFT-relaxed cell (PBE, OQMD); λ = 1.5418 Å (Cu Kα)).
Intensities are scaled so that the largest is 100.

```
Al3CoC3
1.0
3.368 0.000 0.000
-1.684 2.916 0.000
0.000 0.000 14.597
Al Co C
6 2 6
direct
0.333 0.667 0.112
0.333 0.667 0.388
0.333 0.667 0.750
0.667 0.333 0.250
0.667 0.333 0.612
0.667 0.333 0.888
0.000 0.000 0.000
0.000 0.000 0.500
0.333 0.667 0.250
0.333 0.667 0.574
0.333 0.667 0.926
0.667 0.333 0.074
0.667 0.333 0.426
0.667 0.333 0.750
```

Principal peaks in the range 15° ≤ 2θ ≤ 90°, in order of rising 2θ:
two_theta	I/Imax
24.4	13.7
33.1	100.0
35.9	21.3
39.6	63.2
43.9	17.8
48.7	66.2
50.0	15.9
54.5	65.5
76.1	15.7
77.1	25.2

***

Entry 6:
Structure and computed powder diffractogram of K2CoS2 (a DFT-relaxed cell (PBE, OQMD); λ = 1.5418 Å (Cu Kα)).
Intensities are scaled so that the largest is 100.

```
K2CoS2
1.0
-3.375 6.293 2.956
3.375 -6.293 2.956
3.375 6.293 -2.956
K Co S
4 2 4
direct
0.147 0.163 0.310
0.353 0.663 0.016
0.647 0.337 0.984
0.853 0.837 0.690
0.250 0.750 0.500
0.750 0.250 0.500
0.100 0.683 0.783
0.400 0.183 0.583
0.600 0.817 0.417
0.900 0.317 0.217
```

Principal peaks in the range 15° ≤ 2θ ≤ 90°, in order of rising 2θ:
two_theta	I/Imax
25.0	100.0
31.3	95.2
33.9	44.0
34.9	47.4
37.4	40.0
39.1	55.2
40.6	60.5
41.9	90.1
43.1	27.4
55.8	29.5

***

Entry 7:
Structure and computed powder diffractogram of CsNbF6 (a DFT-relaxed cell (PBE, OQMD); λ = 1.5418 Å (Cu Kα)).
Intensities are scaled so that the largest is 100.

```
CsNbF6
1.0
3.727 2.152 2.519
-3.727 2.152 2.519
0.000 -4.304 2.519
Cs Nb F
1 1 6
direct
0.000 0.000 0.000
0.500 0.500 0.500
0.165 0.306 0.576
0.306 0.576 0.165
0.424 0.835 0.694
0.576 0.165 0.306
0.694 0.424 0.835
0.835 0.694 0.424
```

Principal peaks in the range 15° ≤ 2θ ≤ 90°, in order of rising 2θ:
two_theta	I/Imax
23.9	100.0
27.3	72.2
36.6	28.7
38.8	13.9
42.0	19.5
44.2	63.5
48.9	12.4
56.9	17.1
62.1	22.9
66.4	18.3

***

Which formula does entry 2 have?
TcCl